# UInTcIr
Simulated powder X-ray diffraction pattern, Cu Kα (λ = 1.5418 Å). Input: a cell relaxed with GGA-PBE.
Neutral-atom scattering factors, no anomalous dispersion.

Top 10 peaks for 2θ from 10° to 90°, in order of rising 2θ:
2θ (°), I/Imax
23.07, 11
26.71, 1
38.13, 100
45.04, 6
55.02, 17
60.44, 3
68.90, 36
73.74, 2
81.57, 11
86.18, 3

Crystal structure
a b c (Å): 4.721 4.721 4.721
angles (deg): 60.00 60.00 60.00
Positions (direct):
U: 0.000 0.000 0.000
In: 0.500 0.500 0.500
Tc: 0.250 0.250 0.250
Ir: 0.750 0.750 0.750